The following is a theoretical PXRD pattern of Ta2O5. It was derived from a crystal structure in the Materials Project, relaxed with PBE, using λ = 1.5418 Å (Cu Kα).
No peak broadening, texture or thermal motion is included.

Atomic structure:
```
data_Ta2O5
_chemical_formula_sum 'Ta6 O15'
_cell_length_a 18.2407
_cell_length_b 18.2407
_cell_length_c 3.8311
_cell_angle_alpha 92.05
_cell_angle_beta 92.05
_cell_angle_gamma 12.49
_space_group_name_H-M_alt 'P 1'
_space_group_IT_number 1
loop_
_space_group_symop_operation_xyz
'x,y,z'
loop_
_atom_site_label
_atom_site_type_symbol
_atom_site_fract_x
_atom_site_fract_y
_atom_site_fract_z
Ta1 Ta 0.0515 0.0515 0.4026
Ta2 Ta 0.1282 0.1282 0.9195
Ta3 Ta 0.2950 0.2950 0.0280
Ta4 Ta 0.7050 0.7050 0.9720
Ta5 Ta 0.8718 0.8718 0.0805
Ta6 Ta 0.9485 0.9485 0.5974
O1 O 0.0000 0.0000 0.5000
O2 O 0.0000 0.5000 0.0000
O3 O 0.0682 0.0682 0.8976
O4 O 0.1130 0.1130 0.4146
O5 O 0.1815 0.1815 0.9548
O6 O 0.3047 0.3047 0.5345
O7 O 0.3656 0.3656 0.0765
O8 O 0.4487 0.4487 0.6331
O9 O 0.5000 0.0000 0.0000
O10 O 0.5513 0.5513 0.3669
O11 O 0.6344 0.6344 0.9235
O12 O 0.6953 0.6953 0.4655
O13 O 0.8185 0.8185 0.0452
O14 O 0.8870 0.8870 0.5854
O15 O 0.9318 0.9318 0.1024
```

The 10 most intense peaks (15° ≤ 2θ ≤ 90°), most intense first:
2θ (°)	Rel. int.
25.6	100
22.5	68
23.6	66
29.6	62
36.5	58
35.1	48
45.7	32
23.9	30
47.5	27
55.4	25